1.
# SmDy4Ho2Mg
Theoretical powder diffraction line list, copper Kα. Input: a DFT-relaxed cell (PBE, Alexandria).

Most intense lines, 2θ = 10–80°, sorted by position:
Position (°2θ), I/Imax
31.19, 100
35.94, 17
36.28, 33
52.00, 24
52.25, 12
61.66, 14
62.12, 28
65.05, 12

Structural model:
```
data_SmDy4Ho2Mg
_chemical_formula_sum 'Sm1 Dy4 Ho2 Mg1'
_space_group_name_H-M_alt 'P 1'
_space_group_IT_number 1
_space_group_name_Hall 'P 1'
_cell_length_a 4.9520
_cell_length_b 4.9520
_cell_length_c 9.9946
_cell_angle_alpha 90.00
_cell_angle_beta 90.00
_cell_angle_gamma 90.00
loop_
_atom_site_label
_atom_site_fract_x
_atom_site_fract_y
_atom_site_fract_z
_atom_site_occupancy
Sm1 0.0000 0.0000 0.0000 1
Dy1 0.0000 0.5000 0.2539 1
Dy2 0.0000 0.5000 0.7461 1
Dy3 0.5000 0.0000 0.2539 1
Dy4 0.5000 0.0000 0.7461 1
Ho1 0.0000 0.0000 0.5000 1
Ho2 0.5000 0.5000 0.0000 1
Mg1 0.5000 0.5000 0.5000 1
```

2.
# Nb6VGa
Theoretical powder diffraction line list, copper Kα. Input: a DFT-relaxed cell (PBE, Alexandria).

Most intense lines, 2θ = 10–80°, sorted by position:
Position (°2θ), I/Imax
24.25, 5
34.56, 24
38.79, 100
42.66, 51
61.92, 11
64.75, 21
67.51, 25
72.89, 12

Structural model:
```
data_Nb6VGa
_chemical_formula_sum 'Nb6 V1 Ga1'
_space_group_name_H-M_alt 'P 1'
_space_group_IT_number 1
_space_group_name_Hall 'P 1'
_cell_length_a 5.1911
_cell_length_b 5.1911
_cell_length_c 5.1911
_cell_angle_alpha 89.96
_cell_angle_beta 89.96
_cell_angle_gamma 89.96
loop_
_atom_site_label
_atom_site_fract_x
_atom_site_fract_y
_atom_site_fract_z
_atom_site_occupancy
Nb1 0.0003 0.2544 0.4993 1
Nb2 0.9997 0.7456 0.5007 1
Nb3 0.2544 0.4993 0.0003 1
Nb4 0.4993 0.0003 0.2544 1
Nb5 0.5007 0.9997 0.7456 1
Nb6 0.7456 0.5007 0.9997 1
V1 0.5000 0.5000 0.5000 1
Ga1 0.0000 0.0000 0.0000 1
```

3.
# Li27As10
Theoretical powder diffraction line list, copper Kα. Input: a DFT-relaxed cell (PBE, Alexandria).

Most intense lines, 2θ = 10–80°, sorted by position:
Position (°2θ), I/Imax
25.25, 100
29.09, 32
29.54, 15
41.60, 20
41.91, 18
41.96, 19
49.29, 31
66.90, 11

Structural model:
```
data_Li27As10
_chemical_formula_sum 'Li27 As10'
_space_group_name_H-M_alt 'P 1'
_space_group_IT_number 1
_space_group_name_Hall 'P 1'
_cell_length_a 11.4679
_cell_length_b 11.4679
_cell_length_c 7.4515
_cell_angle_alpha 95.95
_cell_angle_beta 95.95
_cell_angle_gamma 142.13
loop_
_atom_site_label
_atom_site_fract_x
_atom_site_fract_y
_atom_site_fract_z
_atom_site_occupancy
Li1 0.0000 0.0000 0.0000 1
Li2 0.0091 0.2234 0.8832 1
Li3 0.0878 0.6846 0.6495 1
Li4 0.1032 0.8968 0.5000 1
Li5 0.1467 0.1467 0.3842 1
Li6 0.1552 0.5672 0.1130 1
Li7 0.2234 0.0091 0.8832 1
Li8 0.2904 0.4714 0.6168 1
Li9 0.3051 0.6949 0.5000 1
Li10 0.3154 0.9122 0.3505 1
Li11 0.3864 0.3864 0.1457 1
Li12 0.3966 0.6034 0.0000 1
Li13 0.4328 0.8448 0.8870 1
Li14 0.4714 0.2904 0.6168 1
Li15 0.5286 0.7096 0.3832 1
Li16 0.5672 0.1552 0.1130 1
Li17 0.6034 0.3966 0.0000 1
Li18 0.6136 0.6136 0.8543 1
Li19 0.6846 0.0878 0.6495 1
Li20 0.6949 0.3051 0.5000 1
Li21 0.7096 0.5286 0.3832 1
Li22 0.7766 0.9909 0.1168 1
Li23 0.8448 0.4328 0.8870 1
Li24 0.8533 0.8533 0.6158 1
Li25 0.8968 0.1032 0.5000 1
Li26 0.9122 0.3154 0.3505 1
Li27 0.9909 0.7766 0.1168 1
As1 0.0633 0.4534 0.7349 1
As2 0.1519 0.3541 0.2493 1
As3 0.2352 0.2352 0.7625 1
As4 0.3541 0.1519 0.2493 1
As5 0.4534 0.0633 0.7349 1
As6 0.5466 0.9367 0.2651 1
As7 0.6459 0.8481 0.7507 1
As8 0.7648 0.7648 0.2375 1
As9 0.8481 0.6459 0.7507 1
As10 0.9367 0.5466 0.2651 1
```

4.
# CePmTcAg
Theoretical powder diffraction line list, copper Kα. Input: a DFT-relaxed cell (PBE, Alexandria).

Most intense lines, 2θ = 10–80°, sorted by position:
Position (°2θ), I/Imax
24.83, 3
35.40, 100
43.72, 1
50.93, 17
57.46, 1
63.55, 35
74.89, 11

Structural model:
```
data_CePmTcAg
_chemical_formula_sum 'Ce1 Pm1 Tc1 Ag1'
_space_group_name_H-M_alt 'P 1'
_space_group_IT_number 1
_space_group_name_Hall 'P 1'
_cell_length_a 5.0716
_cell_length_b 5.0716
_cell_length_c 5.0716
_cell_angle_alpha 60.00
_cell_angle_beta 60.00
_cell_angle_gamma 60.00
loop_
_atom_site_label
_atom_site_fract_x
_atom_site_fract_y
_atom_site_fract_z
_atom_site_occupancy
Ce1 0.0000 0.0000 0.0000 1
Pm1 0.5000 0.5000 0.5000 1
Tc1 0.7500 0.7500 0.7500 1
Ag1 0.2500 0.2500 0.2500 1
```

5.
# TiAl2Pd8
Theoretical powder diffraction line list, copper Kα. Input: a DFT-relaxed cell (PBE, Alexandria).

Most intense lines, 2θ = 10–80°, sorted by position:
Position (°2θ), I/Imax
39.70, 99
40.20, 100
44.18, 41
44.55, 35
50.46, 21
64.55, 23
69.29, 16
78.24, 14

Structural model:
```
data_TiAl2Pd8
_chemical_formula_sum 'Ti1 Al2 Pd8'
_space_group_name_H-M_alt 'P 1'
_space_group_IT_number 1
_space_group_name_Hall 'P 1'
_cell_length_a 7.1392
_cell_length_b 7.1392
_cell_length_c 6.3342
_cell_angle_alpha 109.99
_cell_angle_beta 109.99
_cell_angle_gamma 33.37
loop_
_atom_site_label
_atom_site_fract_x
_atom_site_fract_y
_atom_site_fract_z
_atom_site_occupancy
Ti1 0.0000 0.0000 0.0000 1
Al1 0.2846 0.2846 0.3448 1
Al2 0.7154 0.7154 0.6552 1
Pd1 0.1075 0.1075 0.4618 1
Pd2 0.1767 0.1767 0.9304 1
Pd3 0.3483 0.3483 0.7903 1
Pd4 0.4608 0.4608 0.2687 1
Pd5 0.5392 0.5392 0.7313 1
Pd6 0.6517 0.6517 0.2097 1
Pd7 0.8233 0.8233 0.0696 1
Pd8 0.8925 0.8925 0.5382 1
```

6.
# CeAgTe2
Theoretical powder diffraction line list, copper Kα. Input: a DFT-relaxed cell (PBE, Alexandria).

Most intense lines, 2θ = 10–80°, sorted by position:
Position (°2θ), I/Imax
26.91, 50
28.03, 93
29.02, 65
31.54, 100
32.94, 51
35.24, 67
35.88, 41
42.97, 40

Structural model:
```
data_CeAgTe2
_chemical_formula_sum 'Ce4 Ag4 Te8'
_space_group_name_H-M_alt 'P 1'
_space_group_IT_number 1
_space_group_name_Hall 'P 1'
_cell_length_a 7.3391
_cell_length_b 8.1641
_cell_length_c 7.9357
_cell_angle_alpha 90.00
_cell_angle_beta 96.23
_cell_angle_gamma 90.00
loop_
_atom_site_label
_atom_site_fract_x
_atom_site_fract_y
_atom_site_fract_z
_atom_site_occupancy
Ce1 0.1989 0.0413 0.2995 1
Ce2 0.1989 0.4587 0.7995 1
Ce3 0.8011 0.5413 0.2005 1
Ce4 0.8011 0.9587 0.7005 1
Ag1 0.4313 0.6657 0.4637 1
Ag2 0.4313 0.8343 0.9637 1
Ag3 0.5687 0.1657 0.0363 1
Ag4 0.5687 0.3343 0.5363 1
Te1 0.0638 0.7253 0.5009 1
Te2 0.0638 0.7747 0.0009 1
Te3 0.3842 0.1019 0.7078 1
Te4 0.3842 0.3981 0.2078 1
Te5 0.6158 0.6019 0.7922 1
Te6 0.6158 0.8981 0.2922 1
Te7 0.9362 0.2253 0.9991 1
Te8 0.9362 0.2747 0.4991 1
```